For NdTl2Ni3F12, a structure optimized by DFT (GGA+U) gives the theoretical PXRD pattern in this record (λ = 1.5418 Å (Cu Kα)).
Neutral-atom scattering factors, no anomalous dispersion.

Crystal structure
```
NdTl2Ni3F12
1.0
3.746 2.163 5.203
-3.746 2.163 5.203
0.000 -4.325 5.203
Nd Tl Ni F
1 2 3 12
Cartesian
0.000 0.000 0.000
0.000 0.000 6.139
0.000 0.000 9.470
-3.746 0.000 7.805
-1.873 1.081 2.602
1.873 1.081 2.602
-2.390 -1.380 8.348
0.000 -1.841 4.576
-1.594 0.920 4.576
0.000 -2.760 7.262
-2.390 1.380 7.262
-1.594 -0.920 11.033
1.594 0.920 4.576
2.390 -1.380 8.348
0.000 2.760 8.348
1.594 -0.920 11.033
0.000 1.841 11.033
2.390 1.380 7.262
```

Main lines, by angle (2θ = 5–70°):
| two_theta | I (rel.) |
| --- | --- |
| 23.75 | 100.0 |
| 26.66 | 35.4 |
| 28.10 | 60.5 |
| 29.38 | 85.5 |
| 29.83 | 38.8 |
| 31.81 | 66.7 |
| 47.13 | 60.3 |
| 48.61 | 56.3 |